1.
Ba2In12Cu: calculated powder XRD pattern (Cu Kα), based on a DFT-relaxed cell (PBE, Alexandria).
Neutral-atom scattering factors, no anomalous dispersion.

Top 12 peaks for 2θ = 15–90°, by intensity:
- 2θ = 27.5°, 3.245 Å, I = 100, hkl 2 0 2
- 2θ = 36.5°, 2.462 Å, I = 66, hkl 2 2 0
- 2θ = 35.1°, 2.554 Å, I = 53, hkl 1 1 6
- 2θ = 39.8°, 2.267 Å, I = 51, hkl 2 0 6
- 2θ = 26.9°, 3.313 Å, I = 38, hkl 1 1 4
- 2θ = 45.9°, 1.976 Å, I = 22, hkl 3 1 4
- 2θ = 32.4°, 2.761 Å, I = 20, hkl 2 1 3
- 2θ = 58.8°, 1.570 Å, I = 19, hkl 3 1 8
- 2θ = 64.8°, 1.439 Å, I = 19, hkl 3 3 6
- 2θ = 30.4°, 2.942 Å, I = 14, hkl 2 1 2
- 2θ = 32.6°, 2.749 Å, I = 14, hkl 2 0 4
- 2θ = 52.6°, 1.741 Å, I = 14, hkl 4 0 0

Structural model:
```
data_Ba2In12Cu
_cell_length_a 6.964
_cell_length_b 6.964
_cell_length_c 17.913
_cell_angle_alpha 90.00
_cell_angle_beta 90.00
_cell_angle_gamma 90.00
_space_group_name_H-M_alt 'P 4/n b m'
_space_group_IT_number 125
loop_
_space_group_symop_operation_xyz
'x,y,z'
'-x,-y,-z'
'-y+1/2,x,z'
'y+1/2,-x,-z'
'-x+1/2,-y+1/2,z'
'x+1/2,y+1/2,-z'
'y,-x+1/2,z'
'-y,x+1/2,-z'
'x,-y+1/2,-z'
'-x,y+1/2,z'
'-y+1/2,-x+1/2,-z'
'y+1/2,x+1/2,z'
'-x+1/2,y,-z'
'x+1/2,-y,z'
'y,x,-z'
'-y,-x,z'
loop_
_atom_site_label
_atom_site_type_symbol
_atom_site_fract_x
_atom_site_fract_y
_atom_site_fract_z
Ba1 Ba 0.250 0.750 0.245
In1 In 0.000 0.000 0.082
In2 In 0.076 0.576 0.429
In3 In 0.250 0.250 0.178
In4 In 0.250 0.250 0.340
Cu1 Cu 0.250 0.750 0.000
```

---

2.
Ba2In12Cu7: calculated powder XRD pattern (Cu Kα), based on a DFT-relaxed cell (PBE, Alexandria).
Neutral-atom scattering factors, no anomalous dispersion.

Top 12 peaks for 2θ = 15–90°, by intensity:
- 2θ = 31.7°, 2.822 Å, I = 100, hkl 2 1 1
- 2θ = 40.1°, 2.251 Å, I = 21, hkl 0 0 2
- 2θ = 39.4°, 2.288 Å, I = 19, hkl 4 -1 1
- 2θ = 43.3°, 2.091 Å, I = 19, hkl 1 4 0
- 2θ = 41.1°, 2.198 Å, I = 15, hkl 3 2 0
- 2θ = 60.4°, 1.532 Å, I = 13, hkl 1 4 2
- 2θ = 67.6°, 1.386 Å, I = 11, hkl 3 -2 3
- 2θ = 34.4°, 2.605 Å, I = 10, hkl 3 0 1
- 2θ = 72.1°, 1.309 Å, I = 9, hkl 5 3 1
- 2θ = 42.8°, 2.114 Å, I = 9, hkl 0 4 1
- 2θ = 37.6°, 2.395 Å, I = 8, hkl 4 0 0
- 2θ = 58.7°, 1.573 Å, I = 8, hkl 3 2 2

Structural model:
```
data_Ba2In12Cu7
_cell_length_a 11.0620
_cell_length_b 11.0620
_cell_length_c 4.5022
_cell_angle_alpha 90.00
_cell_angle_beta 90.00
_cell_angle_gamma 120.00
_space_group_name_H-M_alt 'P -3'
_space_group_IT_number 147
loop_
_space_group_symop_operation_xyz
'x,y,z'
'-x,-y,-z'
'-y,x-y,z'
'y,-x+y,-z'
'-x+y,-x,z'
'x-y,x,-z'
loop_
_atom_site_label
_atom_site_type_symbol
_atom_site_fract_x
_atom_site_fract_y
_atom_site_fract_z
Ba1 Ba 0.3333 0.6667 0.2568
In1 In 0.0591 0.4382 0.7500
In2 In 0.1189 0.2595 0.2493
Cu1 Cu 0.0000 0.0000 0.5000
Cu2 Cu 0.1107 0.7075 0.7554
```

---

3.
Ba3In2Cu: calculated powder XRD pattern (Cu Kα), based on a DFT-relaxed cell (PBE, Alexandria).
Neutral-atom scattering factors, no anomalous dispersion.

Top 12 peaks for 2θ = 15–90°, by intensity:
- 2θ = 28.2°, 3.164 Å, I = 100, hkl 1 3 1
- 2θ = 25.5°, 3.494 Å, I = 78, hkl 1 1 -2
- 2θ = 25.8°, 3.451 Å, I = 76, hkl 3 1 0
- 2θ = 33.8°, 2.653 Å, I = 54, hkl 2 0 2
- 2θ = 35.3°, 2.542 Å, I = 47, hkl 2 4 -1
- 2θ = 36.1°, 2.491 Å, I = 45, hkl 4 0 -2
- 2θ = 49.8°, 1.831 Å, I = 39, hkl 2 6 -1
- 2θ = 33.4°, 2.681 Å, I = 38, hkl 1 3 -2
- 2θ = 33.7°, 2.661 Å, I = 37, hkl 3 3 0
- 2θ = 46.6°, 1.950 Å, I = 26, hkl 5 3 -1
- 2θ = 46.2°, 1.965 Å, I = 25, hkl 3 3 -3
- 2θ = 23.3°, 3.810 Å, I = 22, hkl 2 2 -1

Structural model:
```
data_Ba3In2Cu
_cell_length_a 11.227
_cell_length_b 11.823
_cell_length_c 7.329
_cell_angle_alpha 90.00
_cell_angle_beta 105.41
_cell_angle_gamma 90.00
_space_group_name_H-M_alt 'C 1 2/c 1'
_space_group_IT_number 15
loop_
_space_group_symop_operation_xyz
'x,y,z'
'-x,-y,-z'
'-x,y,-z+1/2'
'x,-y,z+1/2'
'x+1/2,y+1/2,z'
'-x+1/2,-y+1/2,-z'
'-x+1/2,y+1/2,-z+1/2'
'x+1/2,-y+1/2,z+1/2'
loop_
_atom_site_label
_atom_site_type_symbol
_atom_site_fract_x
_atom_site_fract_y
_atom_site_fract_z
Ba1 Ba 0.000 0.096 0.250
Ba2 Ba 0.161 0.391 0.071
In1 In 0.162 0.304 0.589
Cu1 Cu 0.000 0.201 0.750
```

---

4.
BaInCu2: calculated powder XRD pattern (Cu Kα), based on a DFT-relaxed cell (PBE, Alexandria).
Neutral-atom scattering factors, no anomalous dispersion.

Top 12 peaks for 2θ = 15–90°, by intensity:
- 2θ = 34.9°, 2.573 Å, I = 100, hkl 1 0 2
- 2θ = 37.4°, 2.406 Å, I = 77, hkl 1 1 0
- 2θ = 28.6°, 3.123 Å, I = 63, hkl 1 0 1
- 2θ = 53.9°, 1.702 Å, I = 42, hkl 2 0 0
- 2θ = 51.6°, 1.772 Å, I = 30, hkl 1 1 3
- 2θ = 65.8°, 1.419 Å, I = 30, hkl 2 1 2
- 2θ = 34.2°, 2.621 Å, I = 25, hkl 0 0 3
- 2θ = 65.4°, 1.427 Å, I = 24, hkl 2 0 3
- 2θ = 43.6°, 2.077 Å, I = 19, hkl 1 0 3
- 2θ = 79.7°, 1.203 Å, I = 19, hkl 2 2 0
- 2θ = 71.7°, 1.316 Å, I = 14, hkl 1 1 5
- 2θ = 89.7°, 1.093 Å, I = 14, hkl 2 2 3

Structural model:
```
data_BaInCu2
_cell_length_a 3.402
_cell_length_b 3.402
_cell_length_c 7.864
_cell_angle_alpha 90.00
_cell_angle_beta 90.00
_cell_angle_gamma 90.00
_space_group_name_H-M_alt 'P 4 m m'
_space_group_IT_number 99
loop_
_space_group_symop_operation_xyz
'x,y,z'
'-y,x,z'
'-x,-y,z'
'y,-x,z'
'-x,y,z'
'y,x,z'
'x,-y,z'
'-y,-x,z'
loop_
_atom_site_label
_atom_site_type_symbol
_atom_site_fract_x
_atom_site_fract_y
_atom_site_fract_z
Ba1 Ba 0.000 0.000 0.000
In1 In 0.500 0.500 0.641
Cu1 Cu 0.000 0.000 0.428
Cu2 Cu 0.500 0.500 0.300
```

---

5.
BaIn12Cu6: calculated powder XRD pattern (Cu Kα), based on a DFT-relaxed cell (PBE, Alexandria).
Neutral-atom scattering factors, no anomalous dispersion.

Top 12 peaks for 2θ = 15–90°, by intensity:
- 2θ = 30.9°, 2.890 Å, I = 100, hkl 1 3 1
- 2θ = 31.6°, 2.831 Å, I = 54, hkl 1 1 3
- 2θ = 37.6°, 2.390 Å, I = 53, hkl 0 3 3
- 2θ = 45.7°, 1.987 Å, I = 45, hkl 5 0 2
- 2θ = 57.2°, 1.610 Å, I = 35, hkl 0 5 4
- 2θ = 37.1°, 2.426 Å, I = 27, hkl 3 2 1
- 2θ = 38.0°, 2.370 Å, I = 27, hkl 0 4 2
- 2θ = 41.4°, 2.179 Å, I = 22, hkl 0 2 4
- 2θ = 35.1°, 2.557 Å, I = 21, hkl 3 1 2
- 2θ = 66.1°, 1.413 Å, I = 17, hkl 4 4 3
- 2θ = 43.0°, 2.105 Å, I = 16, hkl 3 3 0
- 2θ = 60.0°, 1.542 Å, I = 14, hkl 3 5 1

Structural model:
```
data_BaIn12Cu6
_cell_length_a 12.6309
_cell_length_b 12.6309
_cell_length_c 9.5021
_cell_angle_alpha 90.00
_cell_angle_beta 90.00
_cell_angle_gamma 120.00
_space_group_name_H-M_alt 'R -3 m'
_space_group_IT_number 166
_space_group_name_Hall '-R 3 2"'
loop_
_atom_site_label
_atom_site_type_symbol
_atom_site_fract_x
_atom_site_fract_y
_atom_site_fract_z
Ba1 Ba 0.0000 0.0000 0.0000
In1 In 0.0000 0.3777 0.5000
In2 In 0.0861 0.1722 0.3419
Cu1 Cu 0.0404 0.5202 0.2612
```

---

6.
Ba2In6CuNi: calculated powder XRD pattern (Cu Kα), based on a DFT-relaxed cell (PBE, Alexandria).
Neutral-atom scattering factors, no anomalous dispersion.

Top 12 peaks for 2θ = 15–90°, by intensity:
- 2θ = 30.6°, 2.921 Å, I = 100, hkl 2 2 0
- 2θ = 34.6°, 2.589 Å, I = 90, hkl 2 2 -2
- 2θ = 27.4°, 3.250 Å, I = 65, hkl 1 1 -2
- 2θ = 51.5°, 1.776 Å, I = 54, hkl 6 2 -2
- 2θ = 30.4°, 2.936 Å, I = 51, hkl 4 0 -2
- 2θ = 34.8°, 2.575 Å, I = 44, hkl 4 0 0
- 2θ = 28.9°, 3.094 Å, I = 34, hkl 0 2 1
- 2θ = 27.6°, 3.231 Å, I = 33, hkl 2 0 1
- 2θ = 46.5°, 1.952 Å, I = 24, hkl 3 3 -2
- 2θ = 39.1°, 2.305 Å, I = 22, hkl 4 2 -1
- 2θ = 36.1°, 2.489 Å, I = 21, hkl 1 1 2
- 2θ = 25.1°, 3.549 Å, I = 20, hkl 0 2 0

Structural model:
```
data_Ba2In6CuNi
_cell_length_a 12.308
_cell_length_b 7.092
_cell_length_c 7.604
_cell_angle_alpha 90.00
_cell_angle_beta 123.18
_cell_angle_gamma 90.00
_space_group_name_H-M_alt 'C 1 2/m 1'
_space_group_IT_number 12
loop_
_space_group_symop_operation_xyz
'x,y,z'
'-x,-y,-z'
'-x,y,-z'
'x,-y,z'
'x+1/2,y+1/2,z'
'-x+1/2,-y+1/2,-z'
'-x+1/2,y+1/2,-z'
'x+1/2,-y+1/2,z'
loop_
_atom_site_label
_atom_site_type_symbol
_atom_site_fract_x
_atom_site_fract_y
_atom_site_fract_z
Ba1 Ba 0.210 0.000 0.129
In1 In 0.036 0.283 0.325
In2 In 0.248 0.000 0.677
Cu1 Cu 0.000 0.500 0.000
Ni1 Ni 0.000 0.000 0.500
```

---

7.
Ba3In4Cu3O12: calculated powder XRD pattern (Cu Kα), based on a DFT-relaxed cell (PBE, Alexandria).
Neutral-atom scattering factors, no anomalous dispersion.

Top 12 peaks for 2θ = 15–90°, by intensity:
- 2θ = 29.1°, 3.065 Å, I = 100, hkl 2 2 2
- 2θ = 29.0°, 3.081 Å, I = 47, hkl 4 0 0
- 2θ = 41.5°, 2.178 Å, I = 46, hkl 4 4 0
- 2θ = 30.9°, 2.891 Å, I = 33, hkl 3 1 2
- 2θ = 41.9°, 2.156 Å, I = 29, hkl 0 0 4
- 2θ = 60.4°, 1.532 Å, I = 27, hkl 4 4 4
- 2θ = 51.5°, 1.776 Å, I = 26, hkl 6 2 2
- 2θ = 28.1°, 3.177 Å, I = 21, hkl 3 2 1
- 2θ = 51.8°, 1.766 Å, I = 19, hkl 4 0 4
- 2θ = 31.7°, 2.824 Å, I = 16, hkl 4 1 1
- 2θ = 60.1°, 1.540 Å, I = 13, hkl 8 0 0
- 2θ = 68.1°, 1.377 Å, I = 12, hkl 6 6 2

Structural model:
```
data_Ba3In4Cu3O12
_cell_length_a 12.323
_cell_length_b 12.323
_cell_length_c 8.624
_cell_angle_alpha 90.00
_cell_angle_beta 90.00
_cell_angle_gamma 90.00
_space_group_name_H-M_alt 'I 4/m c m'
_space_group_IT_number 140
_space_group_name_Hall '-I 4 2c'
loop_
_atom_site_label
_atom_site_type_symbol
_atom_site_fract_x
_atom_site_fract_y
_atom_site_fract_z
Ba1 Ba 0.000 0.000 0.000
Ba2 Ba 0.221 0.279 0.000
In1 In 0.000 0.243 0.250
Cu1 Cu 0.000 0.500 0.250
Cu2 Cu 0.103 0.397 0.500
O1 O 0.001 0.270 0.500
O2 O 0.113 0.387 0.274
O3 O 0.129 0.129 0.250
```

---

8.
BaInCu6O8: calculated powder XRD pattern (Cu Kα), based on a DFT-relaxed cell (PBE, Alexandria).
Neutral-atom scattering factors, no anomalous dispersion.

Top 12 peaks for 2θ = 15–90°, by intensity:
- 2θ = 33.1°, 2.709 Å, I = 100, hkl 2 2 2
- 2θ = 55.4°, 1.659 Å, I = 42, hkl 4 4 0
- 2θ = 66.0°, 1.415 Å, I = 37, hkl 6 2 2
- 2θ = 38.4°, 2.346 Å, I = 34, hkl 4 0 0
- 2θ = 69.4°, 1.355 Å, I = 8, hkl 4 4 4
- 2θ = 26.9°, 3.318 Å, I = 8, hkl 2 2 0
- 2θ = 82.2°, 1.173 Å, I = 6, hkl 8 0 0
- 2θ = 43.1°, 2.099 Å, I = 6, hkl 4 2 0
- 2θ = 18.9°, 4.693 Å, I = 4, hkl 2 0 0
- 2θ = 31.6°, 2.830 Å, I = 3, hkl 3 1 1
- 2θ = 47.5°, 1.916 Å, I = 3, hkl 4 2 2
- 2θ = 59.1°, 1.564 Å, I = 2, hkl 6 0 0

Structural model:
```
data_BaInCu6O8
_cell_length_a 9.385
_cell_length_b 9.385
_cell_length_c 9.385
_cell_angle_alpha 90.00
_cell_angle_beta 90.00
_cell_angle_gamma 90.00
_space_group_name_H-M_alt 'F m -3 m'
_space_group_IT_number 225
_space_group_name_Hall '-F 4 2 3'
loop_
_atom_site_label
_atom_site_type_symbol
_atom_site_fract_x
_atom_site_fract_y
_atom_site_fract_z
Ba1 Ba 0.000 0.000 0.000
In1 In 0.000 0.000 0.500
Cu1 Cu 0.000 0.250 0.250
O1 O 0.142 0.142 0.358
```

---

9.
Ba6Cu2Ir: calculated powder XRD pattern (Cu Kα), based on a DFT-relaxed cell (PBE, Alexandria).
Neutral-atom scattering factors, no anomalous dispersion.

Top 12 peaks for 2θ = 15–90°, by intensity:
- 2θ = 25.3°, 3.514 Å, I = 100, hkl 1 1 2
- 2θ = 32.7°, 2.741 Å, I = 56, hkl 1 2 2
- 2θ = 25.0°, 3.558 Å, I = 51, hkl 2 1 -2
- 2θ = 38.9°, 2.313 Å, I = 42, hkl 3 0 0
- 2θ = 32.4°, 2.761 Å, I = 29, hkl 2 2 -2
- 2θ = 39.6°, 2.277 Å, I = 29, hkl 0 0 6
- 2θ = 42.4°, 2.132 Å, I = 22, hkl 1 3 2
- 2θ = 20.7°, 4.295 Å, I = 21, hkl 1 1 1
- 2θ = 47.4°, 1.918 Å, I = 18, hkl 2 1 4
- 2θ = 63.4°, 1.467 Å, I = 17, hkl 3 4 0
- 2θ = 52.1°, 1.757 Å, I = 14, hkl 2 2 4
- 2θ = 23.5°, 3.793 Å, I = 13, hkl 0 2 0

Structural model:
```
data_Ba6Cu2Ir
_cell_length_a 8.056
_cell_length_b 7.586
_cell_length_c 15.863
_cell_angle_alpha 90.00
_cell_angle_beta 120.53
_cell_angle_gamma 90.00
_space_group_name_H-M_alt 'P 1 21/c 1'
_space_group_IT_number 14
loop_
_space_group_symop_operation_xyz
'x,y,z'
'-x,-y,-z'
'-x,y+1/2,-z+1/2'
'x,-y+1/2,z+1/2'
loop_
_atom_site_label
_atom_site_type_symbol
_atom_site_fract_x
_atom_site_fract_y
_atom_site_fract_z
Ba1 Ba 0.001 0.233 0.341
Ba2 Ba 0.319 0.724 0.000
Ba3 Ba 0.320 0.233 0.660
Cu1 Cu 0.323 0.501 0.823
Ir1 Ir 0.000 0.000 0.500
```

---

10.
Ba8CuIr2: calculated powder XRD pattern (Cu Kα), based on a DFT-relaxed cell (PBE, Alexandria).
Neutral-atom scattering factors, no anomalous dispersion.

Top 12 peaks for 2θ = 15–90°, by intensity:
- 2θ = 24.5°, 3.627 Å, I = 100, hkl 2 0 0
- 2θ = 43.2°, 2.094 Å, I = 58, hkl 3 0 2
- 2θ = 21.3°, 4.181 Å, I = 40, hkl 0 2 0
- 2θ = 16.2°, 5.479 Å, I = 35, hkl 1 0 1
- 2θ = 32.7°, 2.742 Å, I = 34, hkl 2 2 0
- 2θ = 24.7°, 3.609 Å, I = 30, hkl -1 2 2
- 2θ = 37.2°, 2.418 Å, I = 28, hkl 0 2 -2
- 2θ = 18.4°, 4.827 Å, I = 27, hkl 0 1 2
- 2θ = 37.3°, 2.409 Å, I = 26, hkl 0 2 4
- 2θ = 37.4°, 2.402 Å, I = 26, hkl 0 4 2
- 2θ = 26.8°, 3.330 Å, I = 24, hkl 2 1 1
- 2θ = 21.4°, 4.159 Å, I = 21, hkl 0 2 2

Structural model:
```
data_Ba8CuIr2
_cell_length_a 7.263
_cell_length_b 9.608
_cell_length_c 9.636
_cell_angle_alpha 60.35
_cell_angle_beta 89.97
_cell_angle_gamma 89.99
_space_group_name_H-M_alt 'P -1'
_space_group_IT_number 2
loop_
_space_group_symop_operation_xyz
'x,y,z'
'-x,-y,-z'
loop_
_atom_site_label
_atom_site_type_symbol
_atom_site_fract_x
_atom_site_fract_y
_atom_site_fract_z
Ba1 Ba 0.241 0.334 0.336
Ba2 Ba 0.256 0.832 0.834
Ba3 Ba 0.257 0.333 0.835
Ba4 Ba 0.257 0.835 0.332
Cu1 Cu 0.500 0.000 0.000
Ir1 Ir 0.359 0.666 0.665
```

---

11.
BaCuIrO5: calculated powder XRD pattern (Cu Kα), based on a DFT-relaxed cell (PBE, Alexandria).
Neutral-atom scattering factors, no anomalous dispersion.

Top 12 peaks for 2θ = 15–90°, by intensity:
- 2θ = 26.1°, 3.417 Å, I = 100, hkl 1 1 -2
- 2θ = 31.0°, 2.883 Å, I = 91, hkl 1 3 0
- 2θ = 27.8°, 3.215 Å, I = 72, hkl 2 0 0
- 2θ = 32.1°, 2.787 Å, I = 56, hkl 0 2 2
- 2θ = 16.6°, 5.355 Å, I = 43, hkl 1 1 0
- 2θ = 35.3°, 2.540 Å, I = 31, hkl 2 2 -2
- 2θ = 51.2°, 1.785 Å, I = 27, hkl 3 3 0
- 2θ = 35.5°, 2.530 Å, I = 27, hkl 1 1 2
- 2θ = 41.2°, 2.189 Å, I = 24, hkl 3 1 -2
- 2θ = 57.9°, 1.593 Å, I = 19, hkl 1 3 -4
- 2θ = 49.6°, 1.838 Å, I = 18, hkl 2 2 2
- 2θ = 53.6°, 1.710 Å, I = 17, hkl 1 5 -2

Structural model:
```
data_BaCuIrO5
_cell_length_a 6.971
_cell_length_b 9.676
_cell_length_c 7.392
_cell_angle_alpha 90.00
_cell_angle_beta 112.73
_cell_angle_gamma 90.00
_space_group_name_H-M_alt 'C 1 2/c 1'
_space_group_IT_number 15
loop_
_space_group_symop_operation_xyz
'x,y,z'
'-x,-y,-z'
'-x,y,-z+1/2'
'x,-y,z+1/2'
'x+1/2,y+1/2,z'
'-x+1/2,-y+1/2,-z'
'-x+1/2,y+1/2,-z+1/2'
'x+1/2,-y+1/2,z+1/2'
loop_
_atom_site_label
_atom_site_type_symbol
_atom_site_fract_x
_atom_site_fract_y
_atom_site_fract_z
Ba1 Ba 0.000 0.162 0.250
Cu1 Cu 0.000 0.194 0.750
Ir1 Ir 0.000 0.500 0.000
O1 O 0.000 0.436 0.250
O2 O 0.092 0.314 0.596
O3 O 0.214 0.063 0.918
```